For LiV2Bi2Pb2O10, a crystal structure in Alexandria, relaxed with GGA+U gives the calculated X-ray diffraction stick pattern in this record (copper Kα).
Kinematic intensities with the Lorentz-polarization factor, no thermal factor.

The 10 most intense peaks (10° ≤ 2θ ≤ 80°), sorted by position:
Position (°2θ)  I_rel
18.03  77
22.29  21
25.39  79
26.91  100
28.60  64
31.19  29
31.86  23
40.00  28
40.88  21
42.82  25

Crystal structure
```
data_LiV2Bi2Pb2O10
_cell_length_a 12.489
_cell_length_b 6.244
_cell_length_c 8.482
_cell_angle_alpha 90.00
_cell_angle_beta 110.11
_cell_angle_gamma 90.00
_symmetry_space_group_name_H-M 'C 1 2/m 1'
_symmetry_Int_Tables_number 12
loop_
_symmetry_equiv_pos_as_xyz
'x,y,z'
'-x,-y,-z'
'-x,y,-z'
'x,-y,z'
'x+1/2,y+1/2,z'
'-x+1/2,-y+1/2,-z'
'-x+1/2,y+1/2,-z'
'x+1/2,-y+1/2,z'
loop_
_atom_site_label
_atom_site_type_symbol
_atom_site_fract_x
_atom_site_fract_y
_atom_site_fract_z
Li1 Li 0.000 0.000 0.000
V1 V 0.176 0.500 0.606
Bi1 Bi 0.020 0.000 0.693
Pb1 Pb 0.144 0.500 0.129
O1 O 0.000 0.275 0.000
O2 O 0.114 0.500 0.392
O3 O 0.137 0.265 0.690
O4 O 0.176 0.000 0.332
```